[1]
This entry pairs a crystal structure of CaTi2F10 with its simulated PXRD pattern. Radiation: Cu Kα (weighted mean of Kα1 and Kα2). Structure: a crystal structure in Alexandria, relaxed with PBE.
Peak positions follow from Bragg's law for the DFT cell and can differ from measured ones.

The 6 most intense peaks (2θ = 10–80°), in order of rising 2θ:
Position (°2θ)  I/Imax
17.12  931
21.74  968
26.36  1000
26.63  520
44.33  382
46.85  289

Lattice parameters (Å, degrees): 5.676 5.676 7.838 111.44 111.44 72.29
Fractional positions:
Ca (0.000, 0.000, 0.000)
Ti (0.522, 0.460, 0.743)
Ti (0.540, 0.478, 0.257)
F (0.250, 0.727, 0.803)
F (0.273, 0.750, 0.197)
F (0.284, 0.266, 0.140)
F (0.317, 0.230, 0.619)
F (0.497, 0.503, 0.500)
F (0.582, 0.418, 0.000)
F (0.734, 0.716, 0.860)
F (0.770, 0.683, 0.381)
F (0.795, 0.178, 0.244)
F (0.822, 0.205, 0.756)

[2]
This entry pairs a crystal structure of PaCdInBr6 with its simulated PXRD pattern. Radiation: Cu Kα (weighted mean of Kα1 and Kα2). Structure: a crystal structure in Alexandria, relaxed with PBE.
Peak positions follow from Bragg's law for the DFT cell and can differ from measured ones.

The 6 most intense peaks (2θ = 10–80°), in order of rising 2θ:
Position (°2θ)  I/Imax
12.22  423
14.02  453
17.59  966
25.17  782
33.17  1000
38.46  443

Lattice parameters (Å, degrees): 8.109 8.109 14.484 90.00 90.00 120.00
Fractional positions:
Pa (0.333, 0.667, 0.250)
Pa (0.667, 0.333, 0.750)
Cd (0.000, 0.000, 0.000)
Cd (0.000, 0.000, 0.500)
In (0.333, 0.667, 0.750)
In (0.667, 0.333, 0.250)
Br (0.051, 0.398, 0.141)
Br (0.051, 0.653, 0.359)
Br (0.347, 0.398, 0.359)
Br (0.347, 0.949, 0.141)
Br (0.398, 0.051, 0.641)
Br (0.398, 0.347, 0.859)
Br (0.602, 0.653, 0.141)
Br (0.602, 0.949, 0.359)
Br (0.653, 0.051, 0.859)
Br (0.653, 0.602, 0.641)
Br (0.949, 0.347, 0.641)
Br (0.949, 0.602, 0.859)

[3]
This entry pairs a crystal structure of Cs2As2H5 with its simulated PXRD pattern. Radiation: Cu Kα (weighted mean of Kα1 and Kα2). Structure: a crystal structure in Alexandria, relaxed with PBE.
Peak positions follow from Bragg's law for the DFT cell and can differ from measured ones.

The 6 most intense peaks (2θ = 10–80°), in order of rising 2θ:
Position (°2θ)  I/Imax
21.62  689
21.76  714
29.30  1000
30.20  465
31.71  566
44.05  328

Lattice parameters (Å, degrees): 9.010 9.010 10.667 125.58 125.58 38.35
Fractional positions:
Cs (0.232, 0.768, 0.500)
Cs (0.507, 0.993, 0.114)
Cs (0.768, 0.232, 0.000)
Cs (0.993, 0.507, 0.614)
As (0.102, 0.651, 0.051)
As (0.372, 0.929, 0.345)
As (0.651, 0.102, 0.551)
As (0.929, 0.372, 0.845)
H (0.215, 0.812, 0.198)
H (0.252, 0.723, 0.906)
H (0.278, 0.729, 0.853)
H (0.368, 0.413, 0.098)
H (0.413, 0.368, 0.598)
H (0.603, 0.687, 0.278)
H (0.687, 0.603, 0.778)
H (0.723, 0.252, 0.406)
H (0.729, 0.278, 0.353)
H (0.812, 0.215, 0.698)

[4]
This entry pairs a crystal structure of MgTcHg with its simulated PXRD pattern. Radiation: Cu Kα (weighted mean of Kα1 and Kα2). Structure: a crystal structure in Alexandria, relaxed with PBE.
Peak positions follow from Bragg's law for the DFT cell and can differ from measured ones.

The 6 most intense peaks (2θ = 10–80°), in order of rising 2θ:
Position (°2θ)  I/Imax
13.62  562
31.73  340
37.41  1000
41.68  182
44.28  156
62.48  220

Lattice parameters (Å, degrees): 4.081 4.091 13.001 90.00 90.00 90.00
Fractional positions:
Mg (0.000, 0.000, 0.000)
Mg (0.000, 0.500, 0.500)
Mg (0.500, 0.000, 0.500)
Mg (0.500, 0.500, 0.000)
Tc (0.000, 0.000, 0.347)
Tc (0.000, 0.500, 0.847)
Tc (0.500, 0.000, 0.847)
Tc (0.500, 0.500, 0.347)
Hg (0.000, 0.000, 0.680)
Hg (0.000, 0.500, 0.180)
Hg (0.500, 0.000, 0.180)
Hg (0.500, 0.500, 0.680)